This entry pairs a crystal structure of LiZnCr3S6O24 with its computed powder X-ray diffraction pattern. Radiation: λ = 1.5418 Å (Cu Kα). Structure: the PBE+U geometry in Alexandria.
Intensities are scaled so that the largest is 100.

Top 12 peaks for 15° ≤ 2θ ≤ 90°, sorted by position:
d/Å  two_theta  I (rel.)  (hkl)
4.447  19.96  73.0  1 -1 1
4.175  21.28  14.1  1 -2 0
3.651  24.38  100.0  1 -2 1
3.635  24.49  48.8  -2 1 2
3.046  29.32  39.8  2 0 0
3.029  29.49  19.3  -2 2 2
2.795  32.03  70.6  -1 2 2
2.785  32.13  11.1  -2 1 3
2.716  32.97  9.4  1 2 -1
2.397  37.52  9.2  -3 3 1
1.741  52.57  17.4  -1 3 3
1.738  52.68  9.3  3 -2 2

Structure:
Unit cell a=8.302 b=8.336 c=8.930 alpha=90.38 beta=117.65 gamma=119.63
Atoms (fractional coordinates):
Li: 0.000 0.000 0.000
Zn: 0.699 0.728 0.097
Cr: 0.104 0.435 0.188
Cr: 0.113 0.932 0.699
Cr: 0.697 0.231 0.573
S: 0.189 0.326 0.887
S: 0.199 0.129 0.387
S: 0.617 0.836 0.392
S: 0.619 0.055 0.892
S: 0.906 0.540 0.392
S: 0.910 0.622 0.890
O: 0.029 0.824 0.876
O: 0.039 0.689 0.567
O: 0.045 0.952 0.230
O: 0.066 0.568 0.345
O: 0.085 0.604 0.031
O: 0.134 0.287 0.030
O: 0.137 0.270 0.352
O: 0.200 0.083 0.546
O: 0.250 0.190 0.869
O: 0.365 0.527 0.936
O: 0.403 0.966 0.872
O: 0.422 0.219 0.417
O: 0.434 0.631 0.339
O: 0.550 0.964 0.421
O: 0.596 0.091 0.723
O: 0.671 0.877 0.256
O: 0.694 0.923 0.931
O: 0.733 0.558 0.256
O: 0.754 0.603 0.934
O: 0.777 0.242 0.041
O: 0.796 0.483 0.717
O: 0.802 0.344 0.414
O: 0.808 0.871 0.565
O: 0.991 0.274 0.717